(1)
Starting from a cell relaxed with GGA-PBE, the powder X-ray diffraction pattern of Ba2PrPaO6 was simulated for copper Kα.

Atomic structure:
abc: 9.0720 9.0720 9.0720
angles: 90.00 90.00 90.00
Space group Fm-3m (No. 225)
Unique sites:
Ba (0.2500, 0.2500, 0.2500) (multiplicity 8)
Pr (0.0000, 0.0000, 0.0000) (multiplicity 4)
Pa (0.0000, 0.0000, 0.5000) (multiplicity 4)
O (0.0000, 0.0000, 0.2596) (multiplicity 24)

Peak list (10 most intense, 10 to 80 degrees two-theta, low angle first)
2θ/deg, Rel. int., h k l
16.93, 5, 1 1 1
19.57, 6, 2 0 0
27.81, 100, 2 2 0
39.74, 29, 4 0 0
44.67, 3, 4 2 0
49.20, 43, 4 2 2
57.46, 19, 4 4 0
65.02, 19, 6 2 0
72.14, 6, 4 4 4
78.98, 22, 6 4 2

---

(2)
Starting from a cell relaxed with GGA-PBE, the powder X-ray diffraction pattern of Ba2YPaO6 was simulated for copper Kα.

Atomic structure:
abc: 8.8708 8.8708 8.8708
angles: 90.00 90.00 90.00
Space group Fm-3m (No. 225)
Unique sites:
Ba (0.2500, 0.2500, 0.2500) (multiplicity 8)
Y (0.0000, 0.0000, 0.0000) (multiplicity 4)
Pa (0.0000, 0.0000, 0.5000) (multiplicity 4)
O (0.0000, 0.0000, 0.2544) (multiplicity 24)

Peak list (10 most intense, 10 to 80 degrees two-theta, low angle first)
2θ/deg, Rel. int., h k l
17.31, 13, 1 1 1
28.46, 100, 2 2 0
33.50, 8, 3 1 1
40.68, 29, 4 0 0
44.52, 4, 3 3 1
50.40, 42, 4 2 2
53.69, 3, 5 1 1
58.89, 19, 4 4 0
66.68, 19, 6 2 0
74.04, 6, 4 4 4

---

(3)
Starting from a cell relaxed with GGA-PBE, the powder X-ray diffraction pattern of BaPbO3 was simulated for copper Kα.

Atomic structure:
abc: 8.7169 8.6790 6.1311
angles: 90.00 134.47 90.00
Space group C2/m (No. 12)
Unique sites:
Ba (0.2435, 0.0000, 0.4946) (multiplicity 4)
Pb (0.2500, 0.2500, 0.0000) (multiplicity 4)
O (0.0000, 0.2069, 0.0000) (multiplicity 4)
O (0.0000, 0.2124, 0.5000) (multiplicity 4)
O (0.1804, 0.5000, 0.9390) (multiplicity 4)

Peak list (10 most intense, 10 to 80 degrees two-theta, low angle first)
2θ/deg, Rel. int., h k l
28.70, 24, 2 0 0
29.01, 100, 2 2 -1
29.13, 24, 2 0 -2
41.27, 14, 0 0 2
41.44, 13, 4 0 -2
41.62, 13, 0 4 0
50.99, 11, 2 2 1
51.10, 11, 4 2 -1
51.56, 22, 2 4 -2
68.32, 11, 2 6 -1

---

(4)
Starting from a cell relaxed with GGA-PBE, the powder X-ray diffraction pattern of BaPbO3 was simulated for copper Kα.

Atomic structure:
abc: 6.1007 6.1007 8.8623
angles: 90.00 90.00 90.00
Space group I4/mcm (No. 140)
Unique sites:
Ba (0.0000, 0.5000, 0.2500) (multiplicity 4)
Pb (0.0000, 0.0000, 0.0000) (multiplicity 4)
O (0.0000, 0.0000, 0.2500) (multiplicity 4)
O (0.1967, 0.3033, 0.0000) (multiplicity 8)

Peak list (10 most intense, 10 to 80 degrees two-theta, low angle first)
2θ/deg, Rel. int., h k l
28.89, 100, 1 1 2
29.28, 52, 2 0 0
40.72, 15, 0 0 4
41.88, 26, 2 2 0
50.94, 23, 2 0 4
51.68, 44, 3 1 2
59.84, 18, 2 2 4
66.96, 10, 1 1 6
68.82, 10, 4 2 0
75.71, 8, 4 0 4

---

(5)
Starting from a cell relaxed with GGA-PBE, the powder X-ray diffraction pattern of Ba4Pb3O10 was simulated for copper Kα.

Atomic structure:
abc: 4.3826 4.3831 15.6889
angles: 97.96 97.95 90.01
Space group P1 (No. 1)
Unique sites:
Ba (0.0000, 0.0000, 0.0000) (multiplicity 1)
Ba (0.1219, 0.1240, 0.2783) (multiplicity 1)
Ba (0.2533, 0.2794, 0.5447) (multiplicity 1)
Ba (0.8482, 0.8729, 0.7335) (multiplicity 1)
Pb (0.4092, 0.4280, 0.8554) (multiplicity 1)
Pb (0.5547, 0.5707, 0.1392) (multiplicity 1)
Pb (0.6931, 0.7130, 0.4230) (multiplicity 1)
O (0.0563, 0.5778, 0.1460) (multiplicity 1)
O (0.1927, 0.7177, 0.4218) (multiplicity 1)
O (0.3352, 0.3449, 0.7139) (multiplicity 1)
O (0.4085, 0.9286, 0.8578) (multiplicity 1)
O (0.4382, 0.5008, 0.9975) (multiplicity 1)
O (0.5529, 0.0693, 0.1327) (multiplicity 1)
O (0.6216, 0.6813, 0.2808) (multiplicity 1)
O (0.6932, 0.2131, 0.4200) (multiplicity 1)
O (0.7631, 0.7732, 0.5646) (multiplicity 1)
O (0.9080, 0.4316, 0.8574) (multiplicity 1)

Peak list (10 most intense, 10 to 80 degrees two-theta, low angle first)
2θ/deg, Rel. int., h k l
17.29, 5, 0 0 3
20.47, 5, 1 0 -1
28.78, 100, 1 1 -1
41.07, 8, 0 0 7
41.19, 19, 2 0 -1
50.95, 19, 2 1 2
51.03, 20, 2 1 -5
59.57, 10, 2 0 -8
59.67, 6, 2 2 -2
67.58, 13, 3 1 -2

---

(6)
Starting from a cell relaxed with GGA-PBE, the powder X-ray diffraction pattern of BaPb3O4 was simulated for copper Kα.

Atomic structure:
abc: 8.0044 8.0044 6.3448
angles: 90.00 90.00 120.00
Space group P-62c (No. 190)
Unique sites:
Ba (0.3333, 0.6667, 0.2500) (multiplicity 2)
Pb (0.1662, 0.3450, 0.7500) (multiplicity 6)
O (0.0000, 0.3921, 0.0000) (multiplicity 6)
O (0.3333, 0.6667, 0.7500) (multiplicity 2)

Peak list (10 most intense, 10 to 80 degrees two-theta, low angle first)
2θ/deg, Rel. int., h k l
25.70, 22, 2 0 0
28.13, 24, 0 0 2
29.36, 100, 2 0 1
38.47, 20, 2 0 2
45.32, 22, 2 2 0
50.56, 23, 2 0 3
54.19, 27, 2 2 2
54.92, 17, 4 0 1
73.87, 14, 4 2 1
76.66, 10, 2 2 4

---

(7)
Starting from a cell relaxed with GGA-PBE, the powder X-ray diffraction pattern of BaPbO3 was simulated for copper Kα.

Atomic structure:
abc: 4.3622 4.3622 4.3622
angles: 90.00 90.00 90.00
Space group Pm-3m (No. 221)
Unique sites:
Ba (0.0000, 0.0000, 0.0000) (multiplicity 1)
Pb (0.5000, 0.5000, 0.5000) (multiplicity 1)
O (0.0000, 0.5000, 0.5000) (multiplicity 3)

Peak list (10 most intense, 10 to 80 degrees two-theta, low angle first)
2θ/deg, Rel. int., h k l
20.36, 9, 1 0 0
28.95, 100, 1 1 0
41.40, 28, 2 0 0
46.55, 5, 2 1 0
51.30, 42, 2 1 1
59.98, 18, 2 2 0
64.04, 2, 3 0 0
67.95, 19, 3 1 0
75.50, 6, 2 2 2
79.17, 1, 3 2 0

---

(8)
Starting from a cell relaxed with GGA-PBE, the powder X-ray diffraction pattern of BaPbO3 was simulated for copper Kα.

Atomic structure:
abc: 6.1339 8.6781 6.2165
angles: 90.00 90.00 90.00
Space group Imma (No. 74)
Unique sites:
Ba (0.0000, 0.2500, 0.0067) (multiplicity 4)
Pb (0.0000, 0.0000, 0.5000) (multiplicity 4)
O (0.0000, 0.2500, 0.5707) (multiplicity 4)
O (0.2500, 0.0401, 0.2500) (multiplicity 8)

Peak list (10 most intense, 10 to 80 degrees two-theta, low angle first)
2θ/deg, Rel. int., h k l
28.72, 24, 0 0 2
29.01, 100, 1 2 1
29.12, 25, 2 0 0
41.36, 27, 2 0 2
41.63, 13, 0 4 0
51.06, 23, 1 2 3
51.36, 11, 0 4 2
51.57, 32, 2 4 0
60.13, 16, 2 4 2
67.93, 10, 3 2 3

---

(9)
Starting from a cell relaxed with GGA-PBE, the powder X-ray diffraction pattern of Ba2PuPbO6 was simulated for copper Kα.

Atomic structure:
abc: 8.9430 8.9430 8.9430
angles: 90.00 90.00 90.00
Space group Fm-3m (No. 225)
Unique sites:
Ba (0.2500, 0.2500, 0.2500) (multiplicity 8)
Pu (0.0000, 0.0000, 0.0000) (multiplicity 4)
Pb (0.0000, 0.0000, 0.5000) (multiplicity 4)
O (0.0000, 0.0000, 0.2305) (multiplicity 24)

Peak list (10 most intense, 10 to 80 degrees two-theta, low angle first)
2θ/deg, Rel. int., h k l
19.86, 11, 2 0 0
28.22, 100, 2 2 0
40.34, 27, 4 0 0
45.35, 5, 4 2 0
49.96, 43, 4 2 2
58.37, 18, 4 4 0
62.29, 3, 6 0 0
66.08, 19, 6 2 0
73.34, 6, 4 4 4
76.87, 1, 6 4 0